(1)
Y4AgPd7: simulated powder diffraction line list (Cu Ka), based on a DFT-relaxed cell (GGA-PBE, Alexandria).

Cell and atoms:
a b c (Å): 5.9413 5.9413 10.4332
angles (deg): 116.04 116.04 52.26
Element x y z (fractional)
1 Y 0.0984 0.0984 0.2917
2 Y 0.2923 0.2923 0.8671
3 Y 0.7077 0.7077 0.1329
4 Y 0.9016 0.9016 0.7083
5 Ag 0.5000 0.5000 0.5000
6 Pd 0.0000 0.0000 0.5000
7 Pd 0.1306 0.1306 0.0164
8 Pd 0.2914 0.2914 0.5961
9 Pd 0.4229 0.4229 0.1895
10 Pd 0.5771 0.5771 0.8105
11 Pd 0.7086 0.7086 0.4039
12 Pd 0.8694 0.8694 0.9836

Largest 12 diffraction maxima, by angle, 15 to 90 degrees two-theta:
2θ = 30.7°, I 24
2θ = 34.3°, I 100
2θ = 34.4°, I 48
2θ = 34.8°, I 37
2θ = 35.3°, I 37
2θ = 39.0°, I 53
2θ = 39.4°, I 60
2θ = 39.8°, I 55
2θ = 49.3°, I 34
2θ = 49.7°, I 26
2θ = 50.0°, I 27
2θ = 52.2°, I 19



(2)
Ba4Nb3O10: simulated powder diffraction line list (Cu Ka), based on a DFT-relaxed cell (GGA-PBE, Alexandria).

Cell and atoms:
a b c (Å): 15.3117 15.3117 15.3117
angles (deg): 164.37 164.37 22.18
Element x y z (fractional)
1 Ba 0.0681 0.0681 0.0000
2 Ba 0.2025 0.2025 0.0000
3 Ba 0.7975 0.7975 0.0000
4 Ba 0.9319 0.9319 0.0000
5 Nb 0.3620 0.3620 0.0000
6 Nb 0.5000 0.5000 0.0000
7 Nb 0.6380 0.6380 0.0000
8 O 0.0000 0.5000 0.5000
9 O 0.1381 0.6381 0.5000
10 O 0.2930 0.2930 0.0000
11 O 0.3619 0.8619 0.5000
12 O 0.4303 0.4303 0.0000
13 O 0.5000 0.0000 0.5000
14 O 0.5697 0.5697 0.0000
15 O 0.6381 0.1381 0.5000
16 O 0.7070 0.7070 0.0000
17 O 0.8619 0.3619 0.5000

Largest 12 diffraction maxima, by angle, 15 to 90 degrees two-theta:
2θ = 29.9°, I 100
2θ = 30.4°, I 59
2θ = 38.9°, I 11
2θ = 42.1°, I 13
2θ = 43.5°, I 33
2θ = 52.8°, I 16
2θ = 53.6°, I 39
2θ = 62.1°, I 15
2θ = 63.1°, I 10
2θ = 71.4°, I 9
2θ = 71.7°, I 10
2θ = 87.5°, I 10



(3)
NbCrAs2: simulated powder diffraction line list (Cu Ka), based on a DFT-relaxed cell (GGA-PBE, Alexandria).

Cell and atoms:
a b c (Å): 3.6361 3.6361 18.5026
angles (deg): 90.00 90.00 120.00
Element x y z (fractional)
1 Nb 0.0000 0.0000 0.0000
2 Nb 0.3333 0.6667 0.6667
3 Nb 0.6667 0.3333 0.3333
4 Cr 0.0000 0.0000 0.5000
5 Cr 0.3333 0.6667 0.1667
6 Cr 0.6667 0.3333 0.8333
7 As 0.0000 0.0000 0.2447
8 As 0.0000 0.0000 0.7553
9 As 0.3333 0.6667 0.4219
10 As 0.3333 0.6667 0.9114
11 As 0.6667 0.3333 0.0886
12 As 0.6667 0.3333 0.5781

Largest 12 diffraction maxima, by angle, 15 to 90 degrees two-theta:
2θ = 28.8°, I 4
2θ = 34.5°, I 100
2θ = 37.5°, I 4
2θ = 48.9°, I 35
2θ = 50.2°, I 34
2θ = 60.0°, I 6
2θ = 62.3°, I 17
2θ = 69.0°, I 2
2θ = 72.6°, I 10
2θ = 72.9°, I 1
2θ = 81.9°, I 14
2θ = 84.0°, I 14